(1)
The following is a calculated XRD peak list of PuTl2Se2I2. It was derived from a cell relaxed with PBE, using CuKα.
Intensities are scaled so that the largest is 100.

Atomic structure:
```
data_PuTl2Se2I2
_chemical_formula_sum 'Pu2 Tl4 Se4 I4'
_cell_length_a 5.4845
_cell_length_b 5.4845
_cell_length_c 17.8805
_cell_angle_alpha 90.00
_cell_angle_beta 90.00
_cell_angle_gamma 90.00
_space_group_name_H-M_alt 'I 4/m m m'
_space_group_IT_number 139
_space_group_name_Hall '-I 4 2'
loop_
_atom_site_label
_atom_site_type_symbol
_atom_site_fract_x
_atom_site_fract_y
_atom_site_fract_z
_atom_site_occupancy
Pu1 Pu 0.0000 0.0000 0.0000 1
Tl1 Tl 0.0000 0.0000 0.3777 1
Se1 Se 0.0000 0.5000 0.0000 1
I1 I 0.0000 0.0000 0.1718 1
```

Top 10 peaks for 2θ from 10° to 90°, sorted by position:
hkl 1 0 3, 2θ 22.0, 4.036 Å, intensity 25
hkl 1 1 0, 2θ 22.9, 3.878 Å, intensity 100
hkl 1 0 5, 2θ 29.8, 2.996 Å, intensity 97
hkl 1 1 4, 2θ 30.5, 2.929 Å, intensity 34
hkl 2 0 0, 2θ 32.7, 2.742 Å, intensity 86
hkl 2 1 5, 2θ 44.8, 2.023 Å, intensity 65
hkl 2 0 6, 2θ 44.9, 2.018 Å, intensity 23
hkl 2 2 0, 2θ 46.9, 1.939 Å, intensity 37
hkl 3 1 0, 2θ 52.8, 1.734 Å, intensity 37
hkl 3 0 5, 2θ 56.6, 1.627 Å, intensity 28



(2)
The following is a calculated XRD peak list of SmPuI6. It was derived from a cell relaxed with PBE, using CuKα.
Intensities are scaled so that the largest is 100.

Atomic structure:
```
data_SmPuI6
_chemical_formula_sum 'Sm3 Pu3 I18'
_cell_length_a 7.7257
_cell_length_b 7.7257
_cell_length_c 21.3406
_cell_angle_alpha 90.00
_cell_angle_beta 90.00
_cell_angle_gamma 120.00
_space_group_name_H-M_alt 'R -3'
_space_group_IT_number 148
_space_group_name_Hall '-R 3'
loop_
_atom_site_label
_atom_site_type_symbol
_atom_site_fract_x
_atom_site_fract_y
_atom_site_fract_z
_atom_site_occupancy
Sm1 Sm 0.0000 0.0000 0.0000 1
Pu1 Pu 0.0000 0.0000 0.5000 1
I1 I 0.0014 0.3415 0.2509 1
```

Top 10 peaks for 2θ from 10° to 90°, sorted by position:
hkl 0 1 2, 2θ 15.6, 5.668 Å, intensity 62
hkl 1 0 4, 2θ 21.3, 4.171 Å, intensity 25
hkl 2 -1 3, 2θ 26.3, 3.395 Å, intensity 100
hkl 1 1 6, 2θ 34.3, 2.617 Å, intensity 66
hkl 3 0 0, 2θ 40.4, 2.230 Å, intensity 46
hkl 1 1 9, 2θ 44.9, 2.021 Å, intensity 23
hkl 2 2 3, 2θ 48.9, 1.864 Å, intensity 18
hkl 4 -2 6, 2θ 54.0, 1.697 Å, intensity 18
hkl 3 0 12, 2θ 67.3, 1.390 Å, intensity 20
hkl 4 1 6, 2θ 69.6, 1.351 Å, intensity 17



(3)
The following is a calculated XRD peak list of PuTl2SnI6. It was derived from a cell relaxed with PBE, using CuKα.
Intensities are scaled so that the largest is 100.

Atomic structure:
```
data_PuTl2SnI6
_chemical_formula_sum 'Pu3 Tl6 Sn3 I18'
_cell_length_a 8.5383
_cell_length_b 8.5383
_cell_length_c 22.0387
_cell_angle_alpha 90.00
_cell_angle_beta 90.00
_cell_angle_gamma 120.00
_space_group_name_H-M_alt 'R 3'
_space_group_IT_number 146
_space_group_name_Hall 'R 3'
loop_
_atom_site_label
_atom_site_type_symbol
_atom_site_fract_x
_atom_site_fract_y
_atom_site_fract_z
_atom_site_occupancy
Pu1 Pu 0.0000 0.0000 0.0000 1
Tl1 Tl 0.0000 0.0000 0.3014 1
Tl2 Tl 0.0000 0.0000 0.7990 1
Sn1 Sn 0.0000 0.0000 0.5012 1
I1 I 0.0610 0.7215 0.0781 1
I2 I 0.0625 0.3465 0.5787 1
```

Top 10 peaks for 2θ from 10° to 90°, sorted by position:
hkl 0 1 2, 2θ 14.4, 6.140 Å, intensity 40
hkl 1 0 4, 2θ 20.1, 4.418 Å, intensity 47
hkl 1 1 0, 2θ 20.8, 4.269 Å, intensity 29
hkl 1 1 3, 2θ 24.1, 3.691 Å, intensity 82
hkl 0 2 4, 2θ 29.1, 3.070 Å, intensity 62
hkl 1 1 6, 2θ 32.1, 2.784 Å, intensity 100
hkl 2 1 4, 2θ 36.0, 2.492 Å, intensity 34
hkl 3 0 0, 2θ 36.5, 2.465 Å, intensity 65
hkl 1 0 10, 2θ 42.8, 2.112 Å, intensity 22
hkl 5 -2 4, 2θ 56.8, 1.621 Å, intensity 21



(4)
The following is a calculated XRD peak list of Sr2PuI6. It was derived from a cell relaxed with PBE, using CuKα.
Intensities are scaled so that the largest is 100.

Atomic structure:
```
data_Sr2PuI6
_chemical_formula_sum 'Sr4 Pu2 I12'
_cell_length_a 16.7561
_cell_length_b 4.7205
_cell_length_c 11.9262
_cell_angle_alpha 90.00
_cell_angle_beta 107.37
_cell_angle_gamma 90.00
_space_group_name_H-M_alt 'C 1 2/m 1'
_space_group_IT_number 12
loop_
_space_group_symop_operation_xyz
'x,y,z'
'-x,-y,-z'
'-x,y,-z'
'x,-y,z'
'x+1/2,y+1/2,z'
'-x+1/2,-y+1/2,-z'
'-x+1/2,y+1/2,-z'
'x+1/2,-y+1/2,z'
loop_
_atom_site_label
_atom_site_type_symbol
_atom_site_fract_x
_atom_site_fract_y
_atom_site_fract_z
_atom_site_occupancy
Sr1 Sr 0.1652 0.0000 0.3301 1
Pu1 Pu 0.0000 0.5000 0.0000 1
I1 I 0.0210 0.5000 0.2784 1
I2 I 0.1377 0.0000 0.0432 1
I3 I 0.1906 0.0000 0.6170 1
```

Top 10 peaks for 2θ from 10° to 90°, sorted by position:
hkl 2 0 -1, 2θ 11.5, 7.715 Å, intensity 59
hkl 0 0 3, 2θ 23.4, 3.794 Å, intensity 38
hkl 3 1 0, 2θ 25.2, 3.534 Å, intensity 100
hkl 2 0 -4, 2θ 30.0, 2.976 Å, intensity 30
hkl 5 1 -1, 2θ 32.8, 2.732 Å, intensity 29
hkl 0 2 0, 2θ 38.1, 2.362 Å, intensity 53
hkl 1 1 4, 2θ 38.8, 2.322 Å, intensity 18
hkl 5 1 -4, 2θ 40.4, 2.233 Å, intensity 33
hkl 6 0 3, 2θ 47.1, 1.928 Å, intensity 20
hkl 6 2 3, 2θ 62.2, 1.493 Å, intensity 17



(5)
The following is a calculated XRD peak list of TbPuI5. It was derived from a cell relaxed with PBE, using CuKα.
Intensities are scaled so that the largest is 100.

Atomic structure:
```
data_TbPuI5
_chemical_formula_sum 'Tb2 Pu2 I10'
_cell_length_a 9.2938
_cell_length_b 4.2853
_cell_length_c 14.9827
_cell_angle_alpha 90.00
_cell_angle_beta 95.15
_cell_angle_gamma 90.00
_space_group_name_H-M_alt 'P 1 21/m 1'
_space_group_IT_number 11
loop_
_space_group_symop_operation_xyz
'x,y,z'
'-x,-y,-z'
'-x,y+1/2,-z'
'x,-y+1/2,z'
loop_
_atom_site_label
_atom_site_type_symbol
_atom_site_fract_x
_atom_site_fract_y
_atom_site_fract_z
_atom_site_occupancy
Tb1 Tb 0.0853 0.2500 0.1558 1
Pu1 Pu 0.4062 0.7500 0.3598 1
I1 I 0.1307 0.2500 0.7958 1
I2 I 0.1460 0.2500 0.3656 1
I3 I 0.1783 0.7500 0.0200 1
I4 I 0.3508 0.7500 0.5706 1
I5 I 0.4233 0.2500 0.1951 1
```

Top 10 peaks for 2θ from 10° to 90°, sorted by position:
hkl 1 0 -1, 2θ 10.8, 8.203 Å, intensity 100
hkl 0 0 4, 2θ 23.9, 3.727 Å, intensity 16
hkl 1 1 2, 2θ 26.2, 3.396 Å, intensity 39
hkl 2 1 0, 2θ 28.4, 3.144 Å, intensity 31
hkl 1 1 -3, 2θ 28.6, 3.119 Å, intensity 45
hkl 0 0 5, 2θ 29.9, 2.984 Å, intensity 17
hkl 3 0 1, 2θ 30.1, 2.966 Å, intensity 36
hkl 2 1 4, 2θ 38.6, 2.335 Å, intensity 18
hkl 0 2 0, 2θ 42.2, 2.143 Å, intensity 21
hkl 3 2 1, 2θ 52.6, 1.739 Å, intensity 14



(6)
The following is a calculated XRD peak list of Pu2Te2I. It was derived from a cell relaxed with PBE, using CuKα.
Intensities are scaled so that the largest is 100.

Atomic structure:
```
data_Pu2Te2I
_chemical_formula_sum 'Pu4 Te4 I2'
_cell_length_a 4.4355
_cell_length_b 4.4355
_cell_length_c 18.7054
_cell_angle_alpha 90.00
_cell_angle_beta 90.00
_cell_angle_gamma 90.00
_space_group_name_H-M_alt 'I 4/m m m'
_space_group_IT_number 139
_space_group_name_Hall '-I 4 2'
loop_
_atom_site_label
_atom_site_type_symbol
_atom_site_fract_x
_atom_site_fract_y
_atom_site_fract_z
_atom_site_occupancy
Pu1 Pu 0.0000 0.0000 0.1640 1
Te1 Te 0.0000 0.0000 0.3331 1
I1 I 0.0000 0.0000 0.0000 1
```

Top 10 peaks for 2θ from 10° to 90°, sorted by position:
hkl 1 0 1, 2θ 20.6, 4.316 Å, intensity 36
hkl 1 1 0, 2θ 28.5, 3.136 Å, intensity 100
hkl 0 0 6, 2θ 28.6, 3.118 Å, intensity 49
hkl 2 0 0, 2θ 40.7, 2.218 Å, intensity 39
hkl 1 1 6, 2θ 40.8, 2.211 Å, intensity 76
hkl 2 0 6, 2θ 50.5, 1.807 Å, intensity 41
hkl 2 2 0, 2θ 58.9, 1.568 Å, intensity 13
hkl 3 1 0, 2θ 66.7, 1.402 Å, intensity 36
hkl 1 1 12, 2θ 67.0, 1.396 Å, intensity 17
hkl 3 1 6, 2θ 74.1, 1.279 Å, intensity 27